The following is a computed X-ray powder pattern of K2PuCdO4. It was derived from DFT lattice parameters and positions (PBE), using Cu Kα, 1.54184 Å.

Structure:
Unit cell a=5.973 b=3.520 c=6.591 alpha=90.00 beta=108.58 gamma=90.00
Element x y z (fractional)
K: 0.000 0.000 0.000
K: 0.500 0.500 0.000
Pu: 0.000 0.500 0.500
Cd: 0.500 0.000 0.500
O: 0.208 0.000 0.695
O: 0.248 0.500 0.312
O: 0.752 0.500 0.688
O: 0.792 0.000 0.305

Largest 10 diffraction maxima, low angle first, 2θ from 15° to 90°:
2theta  I (rel.)  hkl
15.65  16  1 0 0
28.57  35  0 0 2
29.89  29  1 1 0
30.22  14  2 0 -1
30.91  53  1 1 -1
31.60  25  2 0 0
35.39  100  1 1 1
45.38  14  1 1 2
48.91  24  1 1 -3
52.83  20  3 1 -1